(1)
# Rb5Li6B11O22
Simulated PXRD pattern, Cu Kα (weighted mean of Kα1 and Kα2). Input: DFT lattice parameters and positions (PBE).

Main lines, low angle first (2θ = 5–70°):
d_spacing  I (rel.)
3.885  21
3.481  28
3.343  86
3.331  31
3.132  37
3.071  100
2.920  32
2.406  27
2.113  21
2.084  22

Cell and atoms:
Lattice parameters (Å, degrees): 6.911 6.911 13.909 104.51 104.51 62.92
Positions (direct):
Rb: 0.000 0.000 0.000
Rb: 0.146 0.448 0.588
Rb: 0.325 0.029 0.787
Rb: 0.552 0.854 0.412
Rb: 0.971 0.675 0.213
Li: 0.109 0.477 0.954
Li: 0.446 0.394 0.404
Li: 0.451 0.095 0.232
Li: 0.523 0.891 0.046
Li: 0.606 0.554 0.596
Li: 0.905 0.549 0.768
B: 0.067 0.246 0.316
B: 0.150 0.850 0.500
B: 0.375 0.531 0.836
B: 0.419 0.289 0.075
B: 0.469 0.625 0.164
B: 0.706 0.268 0.235
B: 0.711 0.581 0.925
B: 0.732 0.294 0.765
B: 0.754 0.933 0.684
B: 0.852 0.137 0.591
B: 0.863 0.148 0.409
O: 0.003 0.908 0.411
O: 0.008 0.252 0.407
O: 0.092 0.997 0.589
O: 0.179 0.543 0.841
O: 0.243 0.282 0.316
O: 0.311 0.190 0.002
O: 0.338 0.662 0.500
O: 0.354 0.519 0.086
O: 0.457 0.821 0.159
O: 0.481 0.646 0.914
O: 0.486 0.413 0.754
O: 0.587 0.514 0.246
O: 0.596 0.168 0.142
O: 0.690 0.184 0.319
O: 0.718 0.757 0.684
O: 0.748 0.992 0.593
O: 0.752 0.248 0.500
O: 0.795 0.066 0.775
O: 0.810 0.689 0.998
O: 0.816 0.310 0.681
O: 0.832 0.404 0.858
O: 0.934 0.205 0.225



(2)
# KLi3TiO4
Simulated PXRD pattern, Cu Kα (weighted mean of Kα1 and Kα2). Input: DFT lattice parameters and positions (PBE).

Main lines, low angle first (2θ = 5–70°):
d_spacing  I (rel.)
5.757  17
4.926  24
4.258  39
3.979  22
3.750  21
2.581  43
2.568  39
2.465  100
2.459  35
1.673  19

Cell and atoms:
Lattice parameters (Å, degrees): 5.992 7.650 10.149 83.47 76.41 79.65
Positions (direct):
K: 0.003 0.381 0.386
K: 0.047 0.141 0.128
K: 0.953 0.859 0.872
K: 0.997 0.619 0.614
Li: 0.186 0.447 0.898
Li: 0.191 0.941 0.398
Li: 0.193 0.175 0.647
Li: 0.435 0.047 0.878
Li: 0.467 0.573 0.372
Li: 0.479 0.322 0.112
Li: 0.521 0.678 0.888
Li: 0.533 0.427 0.628
Li: 0.565 0.953 0.122
Li: 0.807 0.825 0.353
Li: 0.809 0.059 0.602
Li: 0.814 0.553 0.102
Ti: 0.167 0.705 0.149
Ti: 0.444 0.791 0.634
Ti: 0.556 0.209 0.366
Ti: 0.833 0.295 0.851
O: 0.139 0.204 0.848
O: 0.180 0.708 0.328
O: 0.184 0.937 0.595
O: 0.193 0.482 0.089
O: 0.348 0.608 0.758
O: 0.361 0.842 0.031
O: 0.376 0.329 0.511
O: 0.390 0.103 0.277
O: 0.610 0.897 0.723
O: 0.624 0.671 0.489
O: 0.639 0.158 0.969
O: 0.652 0.392 0.242
O: 0.807 0.518 0.911
O: 0.816 0.063 0.405
O: 0.820 0.292 0.672
O: 0.861 0.796 0.152



(3)
# Na4InSi2GePO12
Simulated PXRD pattern, Cu Kα (weighted mean of Kα1 and Kα2). Input: DFT lattice parameters and positions (PBE).

Main lines, low angle first (2θ = 5–70°):
d_spacing  I (rel.)
4.532  100
4.511  24
4.467  29
3.174  27
2.882  46
2.849  41
2.828  40
2.624  29
2.609  52
1.912  23

Cell and atoms:
Lattice parameters (Å, degrees): 9.062 9.062 8.933 119.47 119.47 59.71
Positions (direct):
Na: 0.059 0.941 0.500
Na: 0.196 0.434 0.640
Na: 0.312 0.822 0.887
Na: 0.434 0.196 0.140
Na: 0.564 0.707 0.267
Na: 0.707 0.564 0.767
Na: 0.822 0.312 0.387
Na: 0.941 0.059 0.000
In: 0.163 0.670 0.033
In: 0.670 0.163 0.533
Si: 0.074 0.272 0.844
Si: 0.272 0.074 0.344
Si: 0.770 0.859 0.128
Si: 0.859 0.770 0.628
Ge: 0.465 0.969 0.738
Ge: 0.969 0.465 0.238
P: 0.356 0.573 0.432
P: 0.573 0.356 0.932
O: 0.048 0.734 0.792
O: 0.050 0.306 0.035
O: 0.085 0.259 0.326
O: 0.098 0.441 0.856
O: 0.182 0.548 0.401
O: 0.248 0.901 0.161
O: 0.259 0.085 0.826
O: 0.306 0.050 0.535
O: 0.346 0.592 0.266
O: 0.369 0.744 0.605
O: 0.413 0.532 0.965
O: 0.441 0.098 0.356
O: 0.532 0.413 0.465
O: 0.548 0.182 0.901
O: 0.587 0.875 0.940
O: 0.592 0.346 0.766
O: 0.668 0.805 0.651
O: 0.734 0.048 0.292
O: 0.744 0.369 0.105
O: 0.805 0.668 0.151
O: 0.851 0.945 0.616
O: 0.875 0.587 0.440
O: 0.901 0.248 0.661
O: 0.945 0.851 0.116



(4)
# ScH3C3O6
Simulated PXRD pattern, Cu Kα (weighted mean of Kα1 and Kα2). Input: DFT lattice parameters and positions (PBE).

Main lines, low angle first (2θ = 5–70°):
d_spacing  I (rel.)
5.704  100
3.453  53
3.342  22
2.884  23
2.623  19
2.346  14
2.156  11
1.939  7
1.748  10
1.647  12

Cell and atoms:
Lattice parameters (Å, degrees): 7.248 7.248 7.248 103.81 103.81 103.81
Positions (direct):
Sc: 0.000 0.000 0.000
Sc: 0.500 0.500 0.500
H: 0.051 0.750 0.449
H: 0.250 0.551 0.949
H: 0.449 0.051 0.750
H: 0.551 0.949 0.250
H: 0.750 0.449 0.051
H: 0.949 0.250 0.551
C: 0.046 0.250 0.454
C: 0.250 0.454 0.046
C: 0.454 0.046 0.250
C: 0.546 0.954 0.750
C: 0.750 0.546 0.954
C: 0.954 0.750 0.546
O: 0.022 0.885 0.713
O: 0.115 0.287 0.978
O: 0.213 0.385 0.522
O: 0.287 0.978 0.115
O: 0.385 0.522 0.213
O: 0.478 0.787 0.615
O: 0.522 0.213 0.385
O: 0.615 0.478 0.787
O: 0.713 0.022 0.885
O: 0.787 0.615 0.478
O: 0.885 0.713 0.022
O: 0.978 0.115 0.287